Record 1
# PmDy3Fe8
Computed powder diffraction line list, a wavelength of 1.5418 Å. Input: the PBE geometry in Alexandria.

Atomic structure:
Unit cell a=5.1610 b=5.1610 c=25.2794 alpha=90.00 beta=90.00 gamma=120.00
Space group R3m (No. 160, hexagonal axes)
Symmetry-distinct sites (fractional):
Pm 0.0000 0.0000 0.0000 x3
Dy 0.0000 0.0000 0.1253 x3
Dy 0.0000 0.0000 0.5000 x3
Dy 0.0000 0.0000 0.6247 x3
Fe 0.0000 0.0000 0.3119 x3
Fe 0.0000 0.0000 0.8129 x3
Fe 0.0011 0.5005 0.0635 x9
Fe 0.1675 0.3350 0.8949 x9

Principal peaks in the range 2θ = 10–90°, by angle:
- 2θ 21.1, I 16
- 2θ 34.8, I 67
- 2θ 41.0, I 100
- 2θ 42.9, I 14
- 2θ 62.3, I 25
- 2θ 66.6, I 30
- 2θ 73.4, I 22
- 2θ 83.8, I 11



Record 2
# PrDyFe
Computed powder diffraction line list, a wavelength of 1.5418 Å. Input: the PBE geometry in Alexandria.

Atomic structure:
Unit cell a=7.008 b=12.236 c=7.400 alpha=90.00 beta=90.00 gamma=90.00
Space group Cmce (No. 64)
Symmetry-distinct sites (fractional):
Pr 0.000 0.198 0.112 x8
Dy 0.250 0.041 0.750 x8
Fe 0.000 0.089 0.459 x8

Principal peaks in the range 2θ = 10–90°, by angle:
- 2θ 28.2, I 99
- 2θ 29.4, I 100
- 2θ 31.6, I 73
- 2θ 31.8, I 70
- 2θ 35.3, I 66
- 2θ 38.3, I 40
- 2θ 40.9, I 42
- 2θ 53.4, I 43



Record 3
# Dy2PuFe2
Computed powder diffraction line list, a wavelength of 1.5418 Å. Input: the PBE geometry in Alexandria.

Atomic structure:
Unit cell a=9.606 b=5.765 c=7.533 alpha=90.00 beta=100.42 gamma=90.00
Space group C2/c (No. 15)
Symmetry-distinct sites (fractional):
Dy 0.152 0.116 0.151 x8
Pu 0.000 0.391 0.750 x4
Fe 0.125 0.377 0.508 x8

Principal peaks in the range 2θ = 10–90°, by angle:
- 2θ 28.8, I 26
- 2θ 32.4, I 36
- 2θ 32.7, I 23
- 2θ 33.3, I 100
- 2θ 36.5, I 25
- 2θ 37.4, I 32
- 2θ 39.2, I 28
- 2θ 39.7, I 33



Record 4
# Dy2ScFe
Computed powder diffraction line list, a wavelength of 1.5418 Å. Input: the PBE geometry in Alexandria.

Atomic structure:
Unit cell a=3.3585 b=3.3585 c=30.8072 alpha=90.00 beta=90.00 gamma=120.00
Space group R-3m (No. 166, hexagonal axes)
Symmetry-distinct sites (fractional):
Dy 0.0000 0.0000 0.1043 x6
Sc 0.0000 0.0000 0.0000 x3
Fe 0.0000 0.0000 0.5000 x3

Principal peaks in the range 2θ = 10–90°, by angle:
- 2θ 26.0, I 48
- 2θ 30.9, I 68
- 2θ 31.3, I 40
- 2θ 32.9, I 30
- 2θ 34.1, I 100
- 2θ 38.8, I 45
- 2θ 42.8, I 82
- 2θ 54.7, I 42